Entry 1:
Simulated powder XRD pattern of Si4TcIr for Cu Ka, from a DFT-relaxed cell (GGA-PBE, Alexandria).
Intensities are scaled so that the largest is 100.

Peak list (6 most intense, 10 to 90 degrees two-theta, low angle first)
- 22.51°, I 65
- 37.18°, I 93
- 43.90°, I 100
- 67.03°, I 33
- 71.70°, I 31
- 79.22°, I 20

Structure:
abc: 4.8367 4.8367 4.8367
angles: 60.00 60.00 60.00
Atoms (fractional coordinates):
Si1 0.1251 0.1251 0.1251
Si2 0.1251 0.1251 0.6248
Si3 0.1251 0.6248 0.1251
Si4 0.6248 0.1251 0.1251
Tc1 0.7500 0.7500 0.7500
Ir1 0.5000 0.5000 0.5000

---

Entry 2:
Simulated powder XRD pattern of ZrSiTcIr for Cu Ka, from a DFT-relaxed cell (GGA-PBE, Alexandria).
Intensities are scaled so that the largest is 100.

Peak list (6 most intense, 10 to 90 degrees two-theta, low angle first)
- 24.57°, I 17
- 28.45°, I 21
- 40.67°, I 100
- 58.87°, I 17
- 74.01°, I 34
- 88.06°, I 11

Structure:
abc: 4.4368 4.4368 4.4368
angles: 60.00 60.00 60.00
Atoms (fractional coordinates):
Zr1 0.0000 0.0000 0.0000
Si1 0.5000 0.5000 0.5000
Tc1 0.2500 0.2500 0.2500
Ir1 0.7500 0.7500 0.7500

---

Entry 3:
Simulated powder XRD pattern of Th2Si6Ir9 for Cu Ka, from a DFT-relaxed cell (GGA-PBE, Alexandria).
Intensities are scaled so that the largest is 100.

Peak list (6 most intense, 10 to 90 degrees two-theta, low angle first)
- 24.42°, I 45
- 30.61°, I 57
- 36.92°, I 100
- 40.51°, I 50
- 44.75°, I 54
- 63.74°, I 32

Structure:
abc: 5.6222 5.6222 10.9488
angles: 90.00 90.00 120.00
Atoms (fractional coordinates):
Th1 0.0000 0.0000 0.1957
Th2 0.0000 0.0000 0.8043
Si1 0.3333 0.6667 0.1655
Si2 0.3333 0.6667 0.5000
Si3 0.3333 0.6667 0.8345
Si4 0.6667 0.3333 0.1655
Si5 0.6667 0.3333 0.5000
Si6 0.6667 0.3333 0.8345
Ir1 0.0000 0.5000 0.0000
Ir2 0.0000 0.5000 0.3322
Ir3 0.0000 0.5000 0.6678
Ir4 0.5000 0.0000 0.0000
Ir5 0.5000 0.0000 0.3322
Ir6 0.5000 0.0000 0.6678
Ir7 0.5000 0.5000 0.0000
Ir8 0.5000 0.5000 0.3322
Ir9 0.5000 0.5000 0.6678

---

Entry 4:
Simulated powder XRD pattern of ThSiIr for Cu Ka, from a DFT-relaxed cell (GGA-PBE, Alexandria).
Intensities are scaled so that the largest is 100.

Peak list (6 most intense, 10 to 90 degrees two-theta, low angle first)
- 28.26°, I 51
- 32.68°, I 100
- 37.89°, I 50
- 43.18°, I 37
- 58.77°, I 29
- 72.53°, I 21

Structure:
abc: 7.7904 7.7904 7.7904
angles: 148.80 148.80 44.71
Atoms (fractional coordinates):
Th1 0.0000 0.0000 0.0000
Th2 0.7500 0.2500 0.5000
Si1 0.1726 0.6726 0.5000
Si2 0.4226 0.4226 0.0000
Ir1 0.3411 0.8411 0.5000
Ir2 0.5911 0.5911 0.0000

---

Entry 5:
Simulated powder XRD pattern of Th2Si3Ir6 for Cu Ka, from a DFT-relaxed cell (GGA-PBE, Alexandria).
Intensities are scaled so that the largest is 100.

Peak list (6 most intense, 10 to 90 degrees two-theta, low angle first)
- 28.82°, I 23
- 32.31°, I 100
- 38.44°, I 28
- 41.23°, I 30
- 43.83°, I 95
- 69.53°, I 34

Structure:
abc: 7.1551 7.1551 4.3795
angles: 90.00 90.00 120.00
Atoms (fractional coordinates):
Th1 0.3333 0.6667 0.0000
Th2 0.6667 0.3333 0.0000
Si1 0.0000 0.3889 0.5000
Si2 0.3889 0.0000 0.5000
Si3 0.6111 0.6111 0.5000
Ir1 0.0000 0.2236 0.0000
Ir2 0.0000 0.7293 0.5000
Ir3 0.2236 0.0000 0.0000
Ir4 0.2707 0.2707 0.5000
Ir5 0.7293 0.0000 0.5000
Ir6 0.7764 0.7764 0.0000

---

Entry 6:
Simulated powder XRD pattern of Th2Si7Ir12 for Cu Ka, from a DFT-relaxed cell (GGA-PBE, Alexandria).
Intensities are scaled so that the largest is 100.

Peak list (6 most intense, 10 to 90 degrees two-theta, low angle first)
- 27.71°, I 19
- 36.12°, I 100
- 46.43°, I 31
- 49.01°, I 13
- 67.76°, I 9
- 79.19°, I 11

Structure:
abc: 9.8346 9.8346 3.9154
angles: 90.00 90.00 120.00
Atoms (fractional coordinates):
Th1 0.0000 0.0000 0.0000
Th2 0.3333 0.6667 0.5000
Si1 0.0657 0.4433 0.0000
Si2 0.2667 0.2255 0.5000
Si3 0.3776 0.9343 0.0000
Si4 0.5567 0.6224 0.0000
Si5 0.6667 0.3333 0.0000
Si6 0.7745 0.0412 0.5000
Si7 0.9588 0.7333 0.5000
Ir1 0.0474 0.2698 0.5000
Ir2 0.1128 0.7123 0.0000
Ir3 0.2224 0.9526 0.5000
Ir4 0.2877 0.4005 0.0000
Ir5 0.3954 0.1862 0.0000
Ir6 0.5261 0.4507 0.5000
Ir7 0.5493 0.0754 0.5000
Ir8 0.5995 0.8872 0.0000
Ir9 0.7302 0.7776 0.5000
Ir10 0.7908 0.6046 0.0000
Ir11 0.8138 0.2092 0.0000
Ir12 0.9246 0.4739 0.5000

---

Entry 7:
Simulated powder XRD pattern of Th3Si4Ir for Cu Ka, from a DFT-relaxed cell (GGA-PBE, Alexandria).
Intensities are scaled so that the largest is 100.

Peak list (6 most intense, 10 to 90 degrees two-theta, low angle first)
- 24.24°, I 27
- 28.03°, I 100
- 30.42°, I 23
- 35.80°, I 25
- 52.60°, I 19
- 65.74°, I 21

Structure:
abc: 7.9658 7.9658 7.9658
angles: 147.28 136.71 55.31
Atoms (fractional coordinates):
Th1 0.0000 0.0000 0.0000
Th2 0.3160 0.8160 0.5000
Th3 0.6840 0.1840 0.5000
Si1 0.0853 0.3806 0.7047
Si2 0.3240 0.6194 0.7047
Si3 0.6760 0.3806 0.2953
Si4 0.9147 0.6194 0.2953
Ir1 0.5000 0.5000 0.0000

---

Entry 8:
Simulated powder XRD pattern of Tm2Th2SiIr4 for Cu Ka, from a DFT-relaxed cell (GGA-PBE, Alexandria).
Intensities are scaled so that the largest is 100.

Peak list (6 most intense, 10 to 90 degrees two-theta, low angle first)
- 33.86°, I 100
- 38.61°, I 13
- 39.65°, I 41
- 56.53°, I 17
- 57.32°, I 14
- 68.26°, I 26

Structure:
abc: 6.5134 6.5134 6.5134
angles: 120.85 120.85 88.54
Atoms (fractional coordinates):
Tm1 0.2500 0.7500 0.5000
Tm2 0.7500 0.2500 0.5000
Th1 0.1927 0.1927 0.0000
Th2 0.8073 0.8073 0.0000
Si1 0.5000 0.5000 0.0000
Ir1 0.2423 0.2423 0.4846
Ir2 0.2423 0.7577 0.0000
Ir3 0.7577 0.2423 0.0000
Ir4 0.7577 0.7577 0.5154

---

Entry 9:
Simulated powder XRD pattern of Y2Th2SiIr4 for Cu Ka, from a DFT-relaxed cell (GGA-PBE, Alexandria).
Intensities are scaled so that the largest is 100.

Peak list (6 most intense, 10 to 90 degrees two-theta, low angle first)
- 33.73°, I 100
- 39.57°, I 42
- 42.62°, I 15
- 56.23°, I 15
- 57.20°, I 14
- 68.08°, I 26

Structure:
abc: 6.5472 6.5472 6.5472
angles: 121.06 121.06 88.17
Atoms (fractional coordinates):
Y1 0.2500 0.7500 0.5000
Y2 0.7500 0.2500 0.5000
Th1 0.1916 0.1916 0.0000
Th2 0.8084 0.8084 0.0000
Si1 0.5000 0.5000 0.0000
Ir1 0.2420 0.2420 0.4839
Ir2 0.2420 0.7580 0.0000
Ir3 0.7580 0.2420 0.0000
Ir4 0.7580 0.7580 0.5161

---

Entry 10:
Simulated powder XRD pattern of Ti3SiIr6 for Cu Ka, from a DFT-relaxed cell (GGA-PBE, Alexandria).
Intensities are scaled so that the largest is 100.

Peak list (6 most intense, 10 to 90 degrees two-theta, low angle first)
- 27.97°, I 56
- 31.19°, I 28
- 38.95°, I 36
- 40.98°, I 66
- 42.02°, I 100
- 42.75°, I 100

Structure:
abc: 7.4573 4.4047 9.6204
angles: 90.00 112.38 90.00
Atoms (fractional coordinates):
Ti1 0.0144 0.2500 0.3704
Ti2 0.1231 0.7500 0.2046
Ti3 0.2838 0.2500 0.9756
Ti4 0.7162 0.7500 0.0244
Ti5 0.8769 0.2500 0.7954
Ti6 0.9856 0.7500 0.6296
Si1 0.4600 0.2500 0.5855
Si2 0.5400 0.7500 0.4145
Ir1 0.0460 0.7500 0.9210
Ir2 0.1870 0.2500 0.6656
Ir3 0.2505 0.7500 0.4963
Ir4 0.3460 0.2500 0.3109
Ir5 0.3461 0.7500 0.8259
Ir6 0.4278 0.7500 0.1413
Ir7 0.5722 0.2500 0.8587
Ir8 0.6539 0.2500 0.1741
Ir9 0.6540 0.7500 0.6891
Ir10 0.7495 0.2500 0.5037
Ir11 0.8130 0.7500 0.3344
Ir12 0.9540 0.2500 0.0790

---

Entry 11:
Simulated powder XRD pattern of TlSiIr for Cu Ka, from a DFT-relaxed cell (GGA-PBE, Alexandria).
Intensities are scaled so that the largest is 100.

Peak list (6 most intense, 10 to 90 degrees two-theta, low angle first)
- 14.33°, I 38
- 28.90°, I 51
- 29.72°, I 42
- 33.42°, I 97
- 36.27°, I 100
- 42.76°, I 90

Structure:
abc: 6.3710 6.3710 2.9756
angles: 90.17 90.17 28.15
Atoms (fractional coordinates):
Tl1 0.0000 0.0000 0.0000
Si1 0.2895 0.2895 0.9810
Ir1 0.6938 0.6938 0.4802

---

Entry 12:
Simulated powder XRD pattern of TmSi7Ir3 for Cu Ka, from a DFT-relaxed cell (GGA-PBE, Alexandria).
Intensities are scaled so that the largest is 100.

Peak list (6 most intense, 10 to 90 degrees two-theta, low angle first)
- 26.94°, I 100
- 35.64°, I 42
- 41.13°, I 41
- 47.04°, I 35
- 49.86°, I 28
- 70.54°, I 20

Structure:
abc: 8.0337 8.0337 8.0337
angles: 56.47 56.47 56.47
Atoms (fractional coordinates):
Tm1 0.0000 0.0000 0.0000
Tm2 0.5000 0.5000 0.5000
Si1 0.0644 0.8503 0.6726
Si2 0.1497 0.3274 0.9356
Si3 0.1726 0.3503 0.5644
Si4 0.2500 0.2500 0.2500
Si5 0.3274 0.9356 0.1497
Si6 0.3503 0.5644 0.1726
Si7 0.4356 0.8274 0.6497
Si8 0.5644 0.1726 0.3503
Si9 0.6497 0.4356 0.8274
Si10 0.6726 0.0644 0.8503
Si11 0.7500 0.7500 0.7500
Si12 0.8274 0.6497 0.4356
Si13 0.8503 0.6726 0.0644
Si14 0.9356 0.1497 0.3274
Ir1 0.0714 0.7500 0.4286
Ir2 0.2500 0.5714 0.9286
Ir3 0.4286 0.0714 0.7500
Ir4 0.5714 0.9286 0.2500
Ir5 0.7500 0.4286 0.0714
Ir6 0.9286 0.2500 0.5714